(1)
This entry pairs a crystal structure of KGaTe2 with its calculated powder diffractogram. Radiation: λ = 1.5418 Å (Cu Kα). Structure: a structure optimized by DFT (PBE).

Most intense lines, 2θ from 10° to 80°, sorted by position:
Position (°2θ), Rel. int.
10.6, 24
22.5, 63
24.9, 54
28.2, 100
30.3, 32
40.5, 62
42.7, 43
51.9, 18
52.0, 17
76.7, 17

Cell and atoms:
```
KGaTe2
1.0
5.990 -5.991 0.000
5.990 5.991 0.000
-2.980 0.000 16.654
K Ga Te
8 8 16
direct
0.151 0.779 0.607 K
0.221 0.346 0.881 K
0.221 0.849 0.893 K
0.346 0.221 0.381 K
0.654 0.779 0.619 K
0.779 0.151 0.107 K
0.779 0.654 0.119 K
0.849 0.221 0.393 K
0.087 0.709 0.337 Ga
0.291 0.418 0.164 Ga
0.291 0.913 0.163 Ga
0.418 0.291 0.664 Ga
0.582 0.709 0.336 Ga
0.709 0.087 0.837 Ga
0.709 0.582 0.836 Ga
0.913 0.291 0.663 Ga
0.051 0.426 0.250 Te
0.052 0.948 0.250 Te
0.143 0.265 0.567 Te
0.265 0.143 0.067 Te
0.267 0.640 0.065 Te
0.360 0.733 0.435 Te
0.426 0.051 0.750 Te
0.426 0.574 0.750 Te
0.574 0.426 0.250 Te
0.574 0.949 0.250 Te
0.640 0.267 0.565 Te
0.733 0.360 0.935 Te
0.735 0.857 0.933 Te
0.857 0.735 0.433 Te
0.948 0.052 0.750 Te
0.949 0.574 0.750 Te
```


(2)
This entry pairs a crystal structure of SrAl2Si2O8 with its calculated powder diffractogram. Radiation: λ = 1.5418 Å (Cu Kα). Structure: a structure optimized by DFT (PBE).

Most intense lines, 2θ from 10° to 80°, sorted by position:
Position (°2θ), Rel. int.
11.5, 21
22.7, 100
30.4, 75
34.2, 50
41.5, 28
49.7, 23
54.8, 18
58.9, 19
59.5, 16
61.3, 17

Cell and atoms:
```
SrAl2Si2O8
1.0
5.240 0.000 0.000
-2.620 4.538 0.000
0.000 0.000 15.429
Sr Al Si O
2 4 4 16
direct
0.000 0.000 0.000 Sr
0.000 0.000 0.500 Sr
0.333 0.667 0.354 Al
0.333 0.667 0.854 Al
0.667 0.333 0.146 Al
0.667 0.333 0.646 Al
0.333 0.667 0.139 Si
0.333 0.667 0.639 Si
0.667 0.333 0.361 Si
0.667 0.333 0.861 Si
0.012 0.410 0.101 O
0.012 0.601 0.601 O
0.333 0.667 0.243 O
0.333 0.667 0.743 O
0.399 0.410 0.601 O
0.399 0.988 0.101 O
0.410 0.012 0.399 O
0.410 0.399 0.899 O
0.590 0.601 0.101 O
0.590 0.988 0.601 O
0.601 0.012 0.899 O
0.601 0.590 0.399 O
0.667 0.333 0.257 O
0.667 0.333 0.757 O
0.988 0.399 0.399 O
0.988 0.590 0.899 O
```